(1)
NdBPd3: theoretical powder X-ray diffraction pattern (Cu Kα (weighted mean of Kα1 and Kα2)), based on DFT lattice parameters and positions (PBE).
Lines closer than 0.1° are merged.

Crystal structure
Unit cell a=4.3832 b=4.3832 c=4.3832 alpha=90.00 beta=90.00 gamma=90.00
Sites, in units of the cell vectors:
Nd1 0.0000 0.0000 0.0000
B1 0.5000 0.5000 0.5000
Pd1 0.0000 0.5000 0.5000
Pd2 0.5000 0.0000 0.5000
Pd3 0.5000 0.5000 0.0000

Principal peaks in the range 2θ = 10–90°, by angle:
2θ (°)	intensity
20.3	1
28.8	2
35.5	100
41.2	53
46.3	1
51.0	1
59.7	35
71.4	38
75.1	12
89.4	6

***

(2)
NdBPt4: theoretical powder X-ray diffraction pattern (Cu Kα (weighted mean of Kα1 and Kα2)), based on DFT lattice parameters and positions (PBE).
Lines closer than 0.1° are merged.

Crystal structure
Unit cell a=5.4889 b=5.4889 c=7.7601 alpha=90.00 beta=90.00 gamma=120.00
Sites, in units of the cell vectors:
Nd1 0.0000 0.0000 0.0000
Nd2 0.0000 0.0000 0.5000
B1 0.3333 0.6667 0.0000
B2 0.6667 0.3333 0.0000
Pt1 0.0000 0.5000 0.2001
Pt2 0.0000 0.5000 0.7999
Pt3 0.3333 0.6667 0.5000
Pt4 0.5000 0.0000 0.2001
Pt5 0.5000 0.0000 0.7999
Pt6 0.5000 0.5000 0.2001
Pt7 0.5000 0.5000 0.7999
Pt8 0.6667 0.3333 0.5000

Principal peaks in the range 2θ = 10–90°, by angle:
2θ (°)	intensity
18.7	30
29.7	36
34.7	78
37.9	91
39.7	56
40.2	100
44.7	53
52.3	27
68.4	36
72.8	32

***

(3)
Nd2Re3B6: theoretical powder X-ray diffraction pattern (Cu Kα (weighted mean of Kα1 and Kα2)), based on DFT lattice parameters and positions (PBE).
Lines closer than 0.1° are merged.

Crystal structure
Unit cell a=6.3209 b=6.3209 c=7.6251 alpha=90.46 beta=90.46 gamma=114.77
Sites, in units of the cell vectors:
Nd1 0.0591 0.4067 0.1746
Nd2 0.4067 0.0591 0.6746
Nd3 0.5933 0.9409 0.3254
Nd4 0.9409 0.5933 0.8254
Re1 0.0838 0.9162 0.2500
Re2 0.3037 0.4891 0.5873
Re3 0.4891 0.3037 0.0873
Re4 0.5109 0.6963 0.9127
Re5 0.6963 0.5109 0.4127
Re6 0.9162 0.0838 0.7500
B1 0.0591 0.1503 0.4660
B2 0.0862 0.6590 0.4803
B3 0.1503 0.0591 0.9660
B4 0.2574 0.3485 0.8682
B5 0.3410 0.9138 0.0197
B6 0.3485 0.2574 0.3682
B7 0.6515 0.7426 0.6318
B8 0.6590 0.0862 0.9803
B9 0.7426 0.6515 0.1318
B10 0.8497 0.9409 0.0340
B11 0.9138 0.3410 0.5197
B12 0.9409 0.8497 0.5340

Principal peaks in the range 2θ = 10–90°, by angle:
2θ (°)	intensity
28.3	86
31.2	20
33.2	100
33.7	18
35.7	52
38.6	36
42.6	26
46.1	24
49.3	20
63.9	25

***

(4)
NdB2Rh3: theoretical powder X-ray diffraction pattern (Cu Kα (weighted mean of Kα1 and Kα2)), based on DFT lattice parameters and positions (PBE).
Lines closer than 0.1° are merged.

Crystal structure
Unit cell a=5.5160 b=5.5160 c=3.1254 alpha=90.00 beta=90.00 gamma=120.00
Sites, in units of the cell vectors:
Nd1 0.0000 0.0000 0.0000
B1 0.3333 0.6667 0.0000
B2 0.6667 0.3333 0.0000
Rh1 0.0000 0.5000 0.5000
Rh2 0.5000 0.0000 0.5000
Rh3 0.5000 0.5000 0.5000

Principal peaks in the range 2θ = 10–90°, by angle:
2θ (°)	intensity
34.3	74
37.7	100
43.8	44
47.9	15
59.1	40
65.8	13
68.0	19
72.2	29
78.4	13
80.4	11

***

(5)
NdB4Rh4: theoretical powder X-ray diffraction pattern (Cu Kα (weighted mean of Kα1 and Kα2)), based on DFT lattice parameters and positions (PBE).
Lines closer than 0.1° are merged.

Crystal structure
Unit cell a=5.3764 b=5.3764 c=7.5500 alpha=90.00 beta=90.00 gamma=90.00
Sites, in units of the cell vectors:
Nd1 0.2500 0.7500 0.2500
Nd2 0.7500 0.2500 0.7500
B1 0.0815 0.2500 0.0983
B2 0.2500 0.0815 0.5983
B3 0.2500 0.4185 0.5983
B4 0.4185 0.2500 0.0983
B5 0.5815 0.7500 0.9017
B6 0.7500 0.5815 0.4017
B7 0.7500 0.9185 0.4017
B8 0.9185 0.7500 0.9017
Rh1 0.0013 0.7500 0.6068
Rh2 0.2500 0.5013 0.8932
Rh3 0.2500 0.9987 0.8932
Rh4 0.4987 0.7500 0.6068
Rh5 0.5013 0.2500 0.3932
Rh6 0.7500 0.0013 0.1068
Rh7 0.7500 0.4987 0.1068
Rh8 0.9987 0.2500 0.3932

Principal peaks in the range 2θ = 10–90°, by angle:
2θ (°)	intensity
23.4	20
28.9	46
33.5	21
35.4	80
39.3	100
39.5	73
44.7	37
54.0	20
63.6	23
70.3	31

***

(6)
NdB2Ru2: theoretical powder X-ray diffraction pattern (Cu Kα (weighted mean of Kα1 and Kα2)), based on DFT lattice parameters and positions (PBE).
Lines closer than 0.1° are merged.

Crystal structure
Unit cell a=6.7879 b=5.9856 c=5.6274 alpha=71.46 beta=56.73 gamma=51.81
Sites, in units of the cell vectors:
Nd1 0.1250 0.1250 0.1250
Nd2 0.8750 0.8750 0.8750
B1 0.1920 0.5580 0.1920
B2 0.4420 0.8080 0.4420
B3 0.5580 0.1920 0.5580
B4 0.8080 0.4420 0.8080
Ru1 0.2385 0.2385 0.5115
Ru2 0.4885 0.4885 0.7615
Ru3 0.5115 0.5115 0.2385
Ru4 0.7615 0.7615 0.4885

Principal peaks in the range 2θ = 10–90°, by angle:
2θ (°)	intensity
26.4	17
31.6	99
32.7	16
33.7	100
39.4	34
42.4	50
51.0	26
58.9	27
59.2	16
85.7	17

***

(7)
NdB2Ru2: theoretical powder X-ray diffraction pattern (Cu Kα (weighted mean of Kα1 and Kα2)), based on DFT lattice parameters and positions (PBE).
Lines closer than 0.1° are merged.

Crystal structure
Unit cell a=12.7042 b=12.7042 c=12.7042 alpha=141.92 beta=141.92 gamma=54.95
Sites, in units of the cell vectors:
Nd1 0.0000 0.0000 0.0000
Nd2 0.0000 0.0000 0.5000
Nd3 0.0000 0.5000 0.0000
Nd4 0.0000 0.5000 0.5000
Nd5 0.5000 0.0000 0.0000
Nd6 0.5000 0.0000 0.5000
Nd7 0.5000 0.5000 0.0000
Nd8 0.5000 0.5000 0.5000
B1 0.0114 0.2701 0.6102
B2 0.0987 0.3401 0.6102
B3 0.1599 0.4013 0.8898
B4 0.2299 0.4886 0.8898
B5 0.2701 0.1599 0.2586
B6 0.3401 0.2299 0.2414
B7 0.4013 0.0114 0.2414
B8 0.4886 0.0987 0.2586
B9 0.5114 0.9013 0.7414
B10 0.5987 0.9886 0.7586
B11 0.6599 0.7701 0.7586
B12 0.7299 0.8401 0.7414
B13 0.7701 0.5114 0.1102
B14 0.8401 0.5987 0.1102
B15 0.9013 0.6599 0.3898
B16 0.9886 0.7299 0.3898
Ru1 0.0837 0.1550 0.9789
Ru2 0.1048 0.0837 0.4287
Ru3 0.1550 0.6761 0.0713
Ru4 0.1761 0.6550 0.5713
Ru5 0.3239 0.8952 0.4789
Ru6 0.3450 0.4163 0.5211
Ru7 0.3952 0.8239 0.9789
Ru8 0.4163 0.3952 0.0713
Ru9 0.5837 0.6048 0.9287
Ru10 0.6048 0.1761 0.0211
Ru11 0.6550 0.5837 0.4789
Ru12 0.6761 0.1048 0.5211
Ru13 0.8239 0.3450 0.4287
Ru14 0.8450 0.3239 0.9287
Ru15 0.8952 0.9163 0.5713
Ru16 0.9163 0.8450 0.0211

Principal peaks in the range 2θ = 10–90°, by angle:
2θ (°)	intensity
17.0	18
22.9	79
30.5	100
31.8	56
32.2	61
43.7	30
44.6	72
49.9	21
55.0	29
55.3	22

***

(8)
NdB4Ru4: theoretical powder X-ray diffraction pattern (Cu Kα (weighted mean of Kα1 and Kα2)), based on DFT lattice parameters and positions (PBE).
Lines closer than 0.1° are merged.

Crystal structure
Unit cell a=9.2663 b=9.2663 c=9.2663 alpha=131.80 beta=131.80 gamma=70.54
Sites, in units of the cell vectors:
Nd1 0.1250 0.3750 0.7500
Nd2 0.3750 0.1250 0.2500
Nd3 0.6250 0.8750 0.7500
Nd4 0.8750 0.6250 0.2500
B1 0.0636 0.1243 0.2741
B2 0.1243 0.3501 0.0607
B3 0.1499 0.3757 0.4393
B4 0.2106 0.9364 0.5607
B5 0.2894 0.8501 0.7259
B6 0.3501 0.7894 0.2259
B7 0.3757 0.4364 0.2259
B8 0.4364 0.7106 0.0607
B9 0.5636 0.2894 0.9393
B10 0.6243 0.5636 0.7741
B11 0.6499 0.2106 0.7741
B12 0.7106 0.1499 0.2741
B13 0.7894 0.0636 0.4393
B14 0.8501 0.6243 0.5607
B15 0.8757 0.6499 0.9393
B16 0.9364 0.8757 0.7259
Ru1 0.0413 0.8209 0.9887
Ru2 0.0526 0.0413 0.7204
Ru3 0.1678 0.6791 0.7204
Ru4 0.1791 0.6678 0.2204
Ru5 0.3209 0.5413 0.4887
Ru6 0.3322 0.0526 0.5113
Ru7 0.4474 0.1678 0.9887
Ru8 0.4587 0.4474 0.7796
Ru9 0.5413 0.5526 0.2204
Ru10 0.5526 0.8322 0.0113
Ru11 0.6678 0.9474 0.4887
Ru12 0.6791 0.4587 0.5113
Ru13 0.8209 0.3322 0.7796
Ru14 0.8322 0.3209 0.2796
Ru15 0.9474 0.9587 0.2796
Ru16 0.9587 0.1791 0.0113

Principal peaks in the range 2θ = 10–90°, by angle:
2θ (°)	intensity
23.5	14
31.8	45
33.5	19
39.5	100
40.0	27
48.1	11
54.2	13
63.9	26
70.4	27
83.8	10